Simulated powder diffractogram
Compound: Cu3SeO8
Radiation: Cu Kα (λ = 1.5418 Å)
Structure: a DFT-relaxed cell (PBE, the Materials Project)

Cell and atoms:
Cell: 8.1021 5.9173 13.4726 Å, 90.00 90.00 90.00°
Element x y z (fractional)
Cu1 0.0007 0.2500 0.0018
Cu2 0.2263 0.0017 0.3819
Cu3 0.2263 0.4983 0.3819
Cu4 0.2737 0.5017 0.8819
Cu5 0.2737 0.9983 0.8819
Cu6 0.4993 0.7500 0.5018
Cu7 0.5007 0.2500 0.4982
Cu8 0.7263 0.0017 0.1181
Cu9 0.7263 0.4983 0.1181
Cu10 0.7737 0.5017 0.6181
Cu11 0.7737 0.9983 0.6181
Cu12 0.9993 0.7500 0.9982
Se1 0.1134 0.7500 0.6407
Se2 0.3866 0.2500 0.1407
Se3 0.6134 0.7500 0.8593
Se4 0.8866 0.2500 0.3593
O1 0.0015 0.0078 0.3455
O2 0.0015 0.4922 0.3455
O3 0.0485 0.0055 0.9157
O4 0.0485 0.4945 0.9157
O5 0.2080 0.7500 0.5303
O6 0.2101 0.2500 0.4587
O7 0.2486 0.2500 0.8084
O8 0.2495 0.7500 0.7315
O9 0.2505 0.2500 0.2315
O10 0.2514 0.7500 0.3084
O11 0.2899 0.7500 0.9587
O12 0.2920 0.2500 0.0303
O13 0.4515 0.5055 0.4157
O14 0.4515 0.9945 0.4157
O15 0.4985 0.5078 0.8455
O16 0.4985 0.9922 0.8455
O17 0.5015 0.0078 0.1545
O18 0.5015 0.4922 0.1545
O19 0.5485 0.0055 0.5843
O20 0.5485 0.4945 0.5843
O21 0.7080 0.7500 0.9697
O22 0.7101 0.2500 0.0413
O23 0.7486 0.2500 0.6916
O24 0.7495 0.7500 0.7685
O25 0.7505 0.2500 0.2685
O26 0.7514 0.7500 0.1916
O27 0.7899 0.7500 0.5413
O28 0.7920 0.2500 0.4697
O29 0.9515 0.5055 0.0843
O30 0.9515 0.9945 0.0843
O31 0.9985 0.5078 0.6545
O32 0.9985 0.9922 0.6545

The 12 most intense peaks (2θ from 10° to 80°), by angle:
2theta, I (rel.)
13.1, 34
16.4, 45
17.1, 81
22.6, 100
22.8, 31
26.5, 27
33.9, 35
34.9, 87
35.8, 35
40.6, 35
52.4, 24
62.0, 39

---

Simulated powder diffractogram
Compound: Cu2SeO4
Radiation: Cu Kα (λ = 1.5418 Å)
Structure: a DFT-relaxed cell (PBE, the Materials Project)

Cell and atoms:
Cell: 7.1211 6.0285 10.9134 Å, 90.00 128.56 90.00°
Element x y z (fractional)
Cu1 0.0000 0.0000 0.0000
Cu2 0.0000 0.5000 0.5000
Cu3 0.0045 0.2030 0.2579
Cu4 0.0045 0.2970 0.7579
Cu5 0.5000 0.0000 0.0000
Cu6 0.5000 0.5000 0.5000
Cu7 0.9955 0.7030 0.2421
Cu8 0.9955 0.7970 0.7421
Se1 0.3354 0.5812 0.0995
Se2 0.3354 0.9188 0.5995
Se3 0.6646 0.0812 0.4005
Se4 0.6646 0.4188 0.9005
O1 0.0871 0.5639 0.8982
O2 0.0871 0.9361 0.3982
O3 0.1559 0.0354 0.9025
O4 0.1559 0.4646 0.4025
O5 0.2386 0.7117 0.6586
O6 0.2386 0.7883 0.1586
O7 0.4505 0.2208 0.3983
O8 0.4505 0.2792 0.8983
O9 0.5495 0.7208 0.1017
O10 0.5495 0.7792 0.6017
O11 0.7614 0.2117 0.8414
O12 0.7614 0.2883 0.3414
O13 0.8441 0.5354 0.5975
O14 0.8441 0.9646 0.0975
O15 0.9129 0.0639 0.6018
O16 0.9129 0.4361 0.1018

The 12 most intense peaks (2θ from 10° to 80°), by angle:
2theta, I (rel.)
25.0, 42
25.6, 58
28.9, 37
30.7, 90
31.3, 100
33.4, 33
33.5, 47
34.9, 40
36.5, 94
39.0, 36
51.4, 39
59.8, 37

---

Simulated powder diffractogram
Compound: CuSeO3
Radiation: Cu Kα (λ = 1.5418 Å)
Structure: a DFT-relaxed cell (PBE, the Materials Project)

Cell and atoms:
Cell: 6.0359 12.3608 7.2651 Å, 90.00 90.00 90.00°
Element x y z (fractional)
Cu1 0.1542 0.0937 0.0750
Cu2 0.1542 0.4063 0.5750
Cu3 0.3458 0.5937 0.0750
Cu4 0.3458 0.9063 0.5750
Cu5 0.6542 0.0937 0.4250
Cu6 0.6542 0.4063 0.9250
Cu7 0.8458 0.5937 0.4250
Cu8 0.8458 0.9063 0.9250
Se1 0.1093 0.1444 0.5485
Se2 0.1093 0.3556 0.0485
Se3 0.3907 0.6444 0.5485
Se4 0.3907 0.8556 0.0485
Se5 0.6093 0.1444 0.9515
Se6 0.6093 0.3556 0.4515
Se7 0.8907 0.6444 0.9515
Se8 0.8907 0.8556 0.4515
O1 0.0272 0.5902 0.1448
O2 0.0272 0.9098 0.6448
O3 0.1402 0.5665 0.5384
O4 0.1402 0.9335 0.0384
O5 0.2064 0.2356 0.9593
O6 0.2064 0.2644 0.4593
O7 0.2936 0.7356 0.9593
O8 0.2936 0.7644 0.4593
O9 0.3598 0.0665 0.5384
O10 0.3598 0.4335 0.0384
O11 0.4728 0.0902 0.1448
O12 0.4728 0.4098 0.6448
O13 0.5272 0.5902 0.3552
O14 0.5272 0.9098 0.8552
O15 0.6402 0.5665 0.9616
O16 0.6402 0.9335 0.4616
O17 0.7064 0.2356 0.5407
O18 0.7064 0.2644 0.0407
O19 0.7936 0.7356 0.5407
O20 0.7936 0.7644 0.0407
O21 0.8598 0.0665 0.9616
O22 0.8598 0.4335 0.4616
O23 0.9728 0.0902 0.3552
O24 0.9728 0.4098 0.8552

The 12 most intense peaks (2θ from 10° to 80°), by angle:
2theta, I (rel.)
24.5, 100
28.7, 44
28.9, 87
30.5, 60
34.9, 16
36.9, 17
38.2, 18
39.5, 34
41.2, 25
47.5, 17
55.7, 15
63.4, 15

---

Simulated powder diffractogram
Compound: Sm2CuSe4O12
Radiation: Cu Kα (λ = 1.5418 Å)
Structure: a DFT-relaxed cell (PBE, the Materials Project)

Cell and atoms:
Cell: 10.8180 7.0375 8.2578 Å, 90.00 109.95 90.00°
Element x y z (fractional)
Sm1 0.0843 0.1626 0.2392
Sm2 0.0843 0.3374 0.7392
Sm3 0.9157 0.6626 0.2608
Sm4 0.9157 0.8374 0.7608
Cu1 0.5000 0.0000 0.5000
Cu2 0.5000 0.5000 0.0000
Se1 0.1834 0.6768 0.1347
Se2 0.1834 0.8232 0.6347
Se3 0.3651 0.1722 0.1240
Se4 0.3651 0.3278 0.6240
Se5 0.6349 0.6722 0.3760
Se6 0.6349 0.8278 0.8760
Se7 0.8166 0.1768 0.3653
Se8 0.8166 0.3232 0.8653
O1 0.0565 0.6542 0.5894
O2 0.0565 0.8458 0.0894
O3 0.1067 0.5069 0.2209
O4 0.1067 0.9931 0.7209
O5 0.1556 0.6131 0.9259
O6 0.1556 0.8869 0.4259
O7 0.2000 0.2218 0.0312
O8 0.2000 0.2782 0.5312
O9 0.3483 0.1179 0.3233
O10 0.3483 0.3821 0.8233
O11 0.4418 0.1085 0.6771
O12 0.4418 0.3915 0.1771
O13 0.5582 0.6085 0.8229
O14 0.5582 0.8915 0.3229
O15 0.6517 0.6179 0.1767
O16 0.6517 0.8821 0.6767
O17 0.8000 0.7218 0.4688
O18 0.8000 0.7782 0.9688
O19 0.8444 0.1131 0.5741
O20 0.8444 0.3869 0.0741
O21 0.8933 0.0069 0.2791
O22 0.8933 0.4931 0.7791
O23 0.9435 0.1542 0.9106
O24 0.9435 0.3458 0.4106

The 12 most intense peaks (2θ from 10° to 80°), by angle:
2theta, I (rel.)
15.3, 25
26.8, 35
27.2, 58
27.9, 100
29.2, 36
30.4, 34
31.2, 58
37.6, 23
45.8, 31
46.2, 26
50.9, 24
51.6, 23